1.
Computed powder XRD pattern
Compound: La2Pm3Sm5
Radiation: Cu Kα, 1.54184 Å
Structure: a DFT-relaxed cell (GGA-PBE, Alexandria)

Cell and atoms:
a b c (Å): 10.1746 10.1746 9.2262
angles (deg): 108.63 108.63 114.86
Positions (direct):
1 La 0.0237 0.2744 0.0476
2 La 0.2744 0.0237 0.5476
3 La 0.7256 0.9763 0.4524
4 La 0.9763 0.7256 0.9524
5 Pm 0.0260 0.9740 0.7500
6 Pm 0.2330 0.4837 0.4661
7 Pm 0.4837 0.2330 0.9661
8 Pm 0.5163 0.7670 0.0339
9 Pm 0.7670 0.5163 0.5339
10 Pm 0.9740 0.0260 0.2500
11 Sm 0.1244 0.3773 0.7497
12 Sm 0.2207 0.7793 0.7500
13 Sm 0.2770 0.7230 0.2500
14 Sm 0.3773 0.1244 0.2497
15 Sm 0.4714 0.5286 0.2500
16 Sm 0.5286 0.4714 0.7500
17 Sm 0.6227 0.8756 0.7503
18 Sm 0.7230 0.2770 0.7500
19 Sm 0.7793 0.2207 0.2500
20 Sm 0.8756 0.6227 0.2503

Principal peaks in the range 10° ≤ 2θ ≤ 90°, by angle:
29.05 deg, intensity 95
30.91 deg, intensity 100
31.89 deg, intensity 20
32.70 deg, intensity 46
35.43 deg, intensity 21
48.66 deg, intensity 21
59.87 deg, intensity 22
61.97 deg, intensity 30

2.
Computed powder XRD pattern
Compound: Sm3InRu
Radiation: Cu Kα, 1.54184 Å
Structure: a DFT-relaxed cell (GGA-PBE, Alexandria)

Cell and atoms:
a b c (Å): 9.5197 8.8069 5.9671
angles (deg): 77.61 64.63 37.75
Positions (direct):
1 Sm 0.1963 0.5836 0.4164
2 Sm 0.2002 0.2002 0.7998
3 Sm 0.4164 0.8037 0.1963
4 Sm 0.5836 0.1963 0.8037
5 Sm 0.7998 0.7998 0.2002
6 Sm 0.8037 0.4164 0.5836
7 In 0.2069 0.7931 0.7931
8 In 0.7931 0.2069 0.2069
9 Ru 0.2500 0.2500 0.2500
10 Ru 0.7500 0.7500 0.7500

Principal peaks in the range 10° ≤ 2θ ≤ 90°, by angle:
28.43 deg, intensity 44
30.77 deg, intensity 75
31.86 deg, intensity 69
34.13 deg, intensity 99
34.61 deg, intensity 100
37.84 deg, intensity 42
39.29 deg, intensity 34
56.20 deg, intensity 37

3.
Computed powder XRD pattern
Compound: KPm3F9
Radiation: Cu Kα, 1.54184 Å
Structure: a DFT-relaxed cell (GGA-PBE, Alexandria)

Cell and atoms:
a b c (Å): 8.9178 8.9178 4.5482
angles (deg): 90.00 90.00 120.00
Positions (direct):
1 K 0.0000 0.0000 0.0000
2 Pm 0.0000 0.5000 0.5000
3 Pm 0.5000 0.0000 0.5000
4 Pm 0.5000 0.5000 0.5000
5 F 0.0000 0.5000 0.0000
6 F 0.2173 0.4345 0.5000
7 F 0.2173 0.7827 0.5000
8 F 0.4345 0.2173 0.5000
9 F 0.5000 0.0000 0.0000
10 F 0.5000 0.5000 0.0000
11 F 0.5655 0.7827 0.5000
12 F 0.7827 0.2173 0.5000
13 F 0.7827 0.5655 0.5000

Principal peaks in the range 10° ≤ 2θ ≤ 90°, by angle:
11.46 deg, intensity 42
19.52 deg, intensity 43
22.69 deg, intensity 30
23.03 deg, intensity 100
30.36 deg, intensity 34
40.46 deg, intensity 28
46.34 deg, intensity 30
47.07 deg, intensity 20

4.
Computed powder XRD pattern
Compound: Dy5HgTe5
Radiation: Cu Kα, 1.54184 Å
Structure: a DFT-relaxed cell (GGA-PBE, Alexandria)

Cell and atoms:
a b c (Å): 7.5383 7.5383 8.6251
angles (deg): 106.81 106.81 48.29
Positions (direct):
1 Dy 0.0000 0.0000 0.0000
2 Dy 0.3363 0.3363 0.1663
3 Dy 0.3368 0.3368 0.6688
4 Dy 0.6632 0.6632 0.3312
5 Dy 0.6637 0.6637 0.8337
6 Hg 0.5000 0.5000 0.0000
7 Te 0.1648 0.1648 0.8278
8 Te 0.1695 0.1695 0.3367
9 Te 0.5000 0.5000 0.5000
10 Te 0.8305 0.8305 0.6633
11 Te 0.8352 0.8352 0.1722

Principal peaks in the range 10° ≤ 2θ ≤ 90°, by angle:
28.96 deg, intensity 53
29.11 deg, intensity 52
29.21 deg, intensity 52
41.56 deg, intensity 100
41.90 deg, intensity 20
51.42 deg, intensity 21
51.73 deg, intensity 21
68.11 deg, intensity 24

5.
Computed powder XRD pattern
Compound: Ti8VAs2
Radiation: Cu Kα, 1.54184 Å
Structure: a DFT-relaxed cell (GGA-PBE, Alexandria)

Cell and atoms:
a b c (Å): 7.9644 7.9644 6.8427
angles (deg): 112.23 112.23 26.84
Positions (direct):
1 Ti 0.0379 0.0379 0.2878
2 Ti 0.1718 0.1718 0.7704
3 Ti 0.3272 0.3272 0.5634
4 Ti 0.4184 0.4184 0.0425
5 Ti 0.5816 0.5816 0.9575
6 Ti 0.6728 0.6728 0.4366
7 Ti 0.8282 0.8282 0.2296
8 Ti 0.9621 0.9621 0.7122
9 V 0.5000 0.5000 0.5000
10 As 0.1953 0.1953 0.1807
11 As 0.8047 0.8047 0.8193

Principal peaks in the range 10° ≤ 2θ ≤ 90°, by angle:
37.94 deg, intensity 78
39.91 deg, intensity 100
40.47 deg, intensity 15
41.38 deg, intensity 25
45.11 deg, intensity 14
45.70 deg, intensity 18
46.86 deg, intensity 16
49.30 deg, intensity 36

6.
Computed powder XRD pattern
Compound: NpCdSi2O8
Radiation: Cu Kα, 1.54184 Å
Structure: a DFT-relaxed cell (GGA-PBE, Alexandria)

Cell and atoms:
a b c (Å): 5.7711 5.7711 5.7711
angles (deg): 106.69 106.69 115.20
Positions (direct):
1 Np 0.0000 0.0000 0.0000
2 Cd 0.2500 0.7500 0.5000
3 Si 0.5000 0.5000 0.0000
4 Si 0.7500 0.2500 0.5000
5 O 0.3199 0.1445 0.8246
6 O 0.3199 0.4953 0.1754
7 O 0.3975 0.0898 0.3077
8 O 0.5047 0.6801 0.8246
9 O 0.7821 0.0898 0.6923
10 O 0.8555 0.6801 0.1754
11 O 0.9102 0.2179 0.3077
12 O 0.9102 0.6025 0.6923

Principal peaks in the range 10° ≤ 2θ ≤ 90°, by angle:
19.28 deg, intensity 96
25.86 deg, intensity 100
32.46 deg, intensity 40
34.35 deg, intensity 73
36.89 deg, intensity 21
41.96 deg, intensity 25
49.95 deg, intensity 24
51.29 deg, intensity 59